Starting from a DFT-relaxed cell (GGA-PBE, Alexandria), the X-ray powder pattern of TbTm3Pd3 was calculated for Cu Ka.

The 12 most intense peaks (15 to 90 degrees two-theta), most intense first:
| Position (°2θ) | I (rel.) |
| --- | --- |
| 36.17 | 100.0 |
| 34.63 | 56.6 |
| 32.67 | 55.3 |
| 30.64 | 49.5 |
| 38.04 | 37.6 |
| 32.89 | 29.1 |
| 55.14 | 26.9 |
| 39.56 | 24.9 |
| 43.40 | 24.7 |
| 28.24 | 24.5 |
| 28.81 | 23.6 |
| 48.34 | 18.1 |

Atomic structure:
```
TbTm3Pd3
1.0
4.5574 -5.1808 0.0000
4.5574 5.1808 0.0000
-0.2311 0.0000 7.0364
Tb Tm Pd
2 6 6
Cartesian
2.0526 0.0000 2.6599
6.8311 0.0000 4.3764
1.1927 0.0000 6.0858
4.4418 2.5720 3.5182
4.5574 1.8335 0.0000
4.5574 -1.8335 0.0000
4.4418 -2.5720 3.5182
7.6910 0.0000 0.9506
2.1604 2.6129 5.4753
3.8384 0.0000 4.8919
6.7232 2.6129 1.5611
2.1604 -2.6129 5.4753
5.0452 0.0000 2.1444
6.7232 -2.6129 1.5611
```